[1]
Computed X-ray diffraction stick pattern of HfV2O7 for λ = 1.5418 Å (Cu Kα), from a crystal structure in the Materials Project, relaxed with GGA+U.
Kinematic intensities with the Lorentz-polarization factor, no thermal factor.

Structural model:
```
data_HfV2O7
_chemical_formula_sum 'Hf4 V8 O28'
_cell_length_a 8.9886
_cell_length_b 8.9886
_cell_length_c 8.9886
_cell_angle_alpha 90.00
_cell_angle_beta 90.00
_cell_angle_gamma 90.00
_space_group_name_H-M_alt 'P a -3'
_space_group_IT_number 205
_space_group_name_Hall '-P 2ac 2ab 3'
loop_
_atom_site_label
_atom_site_type_symbol
_atom_site_fract_x
_atom_site_fract_y
_atom_site_fract_z
Hf1 Hf 0.0000 0.0000 0.0000
V1 V 0.1150 0.6150 0.8850
O1 O 0.0000 0.0000 0.5000
O2 O 0.0634 0.7023 0.4093
```

Top 8 peaks for 10° ≤ 2θ ≤ 90°, by angle:
d (Å), 2θ/deg, intensity
5.190, 17.1, 74
4.494, 19.8, 100
4.020, 22.1, 29
3.178, 28.1, 53
2.710, 33.1, 69
2.010, 45.1, 35
1.835, 49.7, 31
1.730, 52.9, 37

=====

[2]
Computed X-ray diffraction stick pattern of HfW2O8 for λ = 1.5418 Å (Cu Kα), from a crystal structure in the Materials Project, relaxed with GGA+U.
Kinematic intensities with the Lorentz-polarization factor, no thermal factor.

Structural model:
```
data_HfW2O8
_chemical_formula_sum 'Hf4 W8 O32'
_cell_length_a 9.3000
_cell_length_b 9.3000
_cell_length_c 9.3000
_cell_angle_alpha 90.00
_cell_angle_beta 90.00
_cell_angle_gamma 90.00
_space_group_name_H-M_alt 'P 21 3'
_space_group_IT_number 198
_space_group_name_Hall 'P 2ac 2ab 3'
loop_
_atom_site_label
_atom_site_type_symbol
_atom_site_fract_x
_atom_site_fract_y
_atom_site_fract_z
Hf1 Hf 0.2485 0.2515 0.7485
W1 W 0.0927 0.0927 0.0927
W2 W 0.1483 0.6483 0.8517
O1 O 0.0160 0.4840 0.5160
O2 O 0.0398 0.1942 0.6812
O3 O 0.0474 0.6969 0.3114
O4 O 0.2413 0.2413 0.2413
```

Top 8 peaks for 10° ≤ 2θ ≤ 90°, by angle:
d (Å), 2θ/deg, intensity
4.650, 19.1, 30
4.159, 21.4, 100
3.797, 23.4, 77
3.288, 27.1, 41
2.804, 31.9, 62
2.486, 36.1, 33
1.898, 47.9, 25
1.790, 51.0, 39

=====

[3]
Computed X-ray diffraction stick pattern of Hf9W4O3 for λ = 1.5418 Å (Cu Kα), from a crystal structure in the Materials Project, relaxed with GGA+U.
Kinematic intensities with the Lorentz-polarization factor, no thermal factor.

Structural model:
```
data_Hf9W4O3
_chemical_formula_sum 'Hf18 W8 O6'
_cell_length_a 8.6688
_cell_length_b 8.6688
_cell_length_c 8.5026
_cell_angle_alpha 90.00
_cell_angle_beta 90.00
_cell_angle_gamma 120.00
_space_group_name_H-M_alt 'P 63/m m c'
_space_group_IT_number 194
_space_group_name_Hall '-P 6c 2c'
loop_
_atom_site_label
_atom_site_type_symbol
_atom_site_fract_x
_atom_site_fract_y
_atom_site_fract_z
Hf1 Hf 0.0947 0.5474 0.2500
Hf2 Hf 0.2057 0.4114 0.5643
W1 W 0.0000 0.0000 0.0000
W2 W 0.1112 0.2224 0.2500
O1 O 0.0000 0.5000 0.0000
```

Top 8 peaks for 10° ≤ 2θ ≤ 90°, by angle:
d (Å), 2θ/deg, intensity
2.652, 33.8, 44
2.502, 35.9, 27
2.401, 37.5, 100
2.360, 38.1, 100
2.262, 39.9, 45
1.472, 63.2, 33
1.445, 64.5, 26
1.407, 66.5, 34

=====

[4]
Computed X-ray diffraction stick pattern of MgHg2Mo2O8 for λ = 1.5418 Å (Cu Kα), from a crystal structure in the Materials Project, relaxed with GGA+U.
Kinematic intensities with the Lorentz-polarization factor, no thermal factor.

Structural model:
```
data_MgHg2Mo2O8
_chemical_formula_sum 'Mg1 Hg2 Mo2 O8'
_cell_length_a 5.5168
_cell_length_b 6.2591
_cell_length_c 6.5894
_cell_angle_alpha 63.98
_cell_angle_beta 84.70
_cell_angle_gamma 65.66
_space_group_name_H-M_alt 'P 1'
_space_group_IT_number 1
loop_
_space_group_symop_operation_xyz
'x,y,z'
loop_
_atom_site_label
_atom_site_type_symbol
_atom_site_fract_x
_atom_site_fract_y
_atom_site_fract_z
Mg1 Mg 0.0000 0.0000 0.0000
Hg1 Hg 0.4570 0.0570 0.2378
Hg2 Hg 0.8467 0.2999 0.4112
Mo1 Mo 0.1508 0.5500 0.5823
Mo2 Mo 0.5896 0.6018 0.8417
O1 O 0.3691 0.7670 0.5350
O2 O 0.3758 0.3027 0.5019
O3 O 0.3831 0.8077 0.9666
O4 O 0.4080 0.3637 0.8977
O5 O 0.8578 0.2897 0.1035
O6 O 0.8652 0.7428 0.7262
O7 O 0.9045 0.3276 0.7031
O8 O 0.9262 0.7624 0.2858
```

Top 8 peaks for 10° ≤ 2θ ≤ 90°, by angle:
d (Å), 2θ/deg, intensity
5.887, 15.1, 55
4.030, 22.1, 30
3.221, 27.7, 100
3.117, 28.6, 90
3.080, 29.0, 74
2.921, 30.6, 74
2.738, 32.7, 54
2.665, 33.6, 61

=====

[5]
Computed X-ray diffraction stick pattern of MgV2Hg2O6 for λ = 1.5418 Å (Cu Kα), from a crystal structure in the Materials Project, relaxed with GGA+U.
Kinematic intensities with the Lorentz-polarization factor, no thermal factor.

Structural model:
```
data_MgV2Hg2O6
_chemical_formula_sum 'Mg1 V2 Hg2 O6'
_cell_length_a 3.6184
_cell_length_b 6.8450
_cell_length_c 8.2262
_cell_angle_alpha 91.15
_cell_angle_beta 90.53
_cell_angle_gamma 90.64
_space_group_name_H-M_alt 'P 1'
_space_group_IT_number 1
loop_
_space_group_symop_operation_xyz
'x,y,z'
loop_
_atom_site_label
_atom_site_type_symbol
_atom_site_fract_x
_atom_site_fract_y
_atom_site_fract_z
Mg1 Mg 0.0000 0.0000 0.0000
V1 V 0.4956 0.1180 0.6980
V2 V 0.9855 0.9108 0.4330
Hg1 Hg 0.4512 0.4134 0.2088
Hg2 Hg 0.9726 0.6031 0.8887
O1 O 0.4887 0.9952 0.4803
O2 O 0.4989 0.3546 0.6848
O3 O 0.4996 0.0639 0.9137
O4 O 0.9813 0.6752 0.4524
O5 O 0.9835 0.9561 0.2293
O6 O 0.9934 0.0374 0.6744
```

Top 8 peaks for 10° ≤ 2θ ≤ 90°, by angle:
d (Å), 2θ/deg, intensity
8.224, 10.8, 43
6.843, 12.9, 45
5.209, 17.0, 93
3.556, 25.0, 77
3.183, 28.0, 63
3.137, 28.5, 64
2.991, 29.9, 100
2.529, 35.5, 50

=====

[6]
Computed X-ray diffraction stick pattern of MgHg8W8O28 for λ = 1.5418 Å (Cu Kα), from a crystal structure in the Materials Project, relaxed with GGA+U.
Kinematic intensities with the Lorentz-polarization factor, no thermal factor.

Structural model:
```
data_MgHg8W8O28
_chemical_formula_sum 'Mg1 Hg8 W8 O28'
_cell_length_a 7.4743
_cell_length_b 7.5251
_cell_length_c 14.8206
_cell_angle_alpha 77.63
_cell_angle_beta 77.24
_cell_angle_gamma 62.49
_space_group_name_H-M_alt 'P 1'
_space_group_IT_number 1
loop_
_space_group_symop_operation_xyz
'x,y,z'
loop_
_atom_site_label
_atom_site_type_symbol
_atom_site_fract_x
_atom_site_fract_y
_atom_site_fract_z
Mg1 Mg 0.0000 0.0000 0.0000
Hg1 Hg 0.1256 0.0240 0.6343
Hg2 Hg 0.3200 0.5363 0.7484
Hg3 Hg 0.4587 0.6780 0.1227
Hg4 Hg 0.4650 0.3733 0.2455
Hg5 Hg 0.6306 0.5308 0.6284
Hg6 Hg 0.8045 0.0442 0.7540
Hg7 Hg 0.9393 0.2339 0.1467
Hg8 Hg 0.9555 0.8992 0.2522
W1 W 0.0447 0.6533 0.4974
W2 W 0.0797 0.6079 0.9897
W3 W 0.3510 0.9580 0.3777
W4 W 0.4002 0.9190 0.8669
W5 W 0.5444 0.1557 0.4956
W6 W 0.5683 0.1047 0.0025
W7 W 0.8537 0.4625 0.3757
W8 W 0.8872 0.4153 0.8784
O1 O 0.0020 0.6348 0.3552
O2 O 0.0405 0.6542 0.6168
O3 O 0.0726 0.5588 0.8588
O4 O 0.0751 0.7218 0.0899
O5 O 0.0969 0.2216 0.3870
O6 O 0.1336 0.1480 0.9060
O7 O 0.1838 0.8228 0.4424
O8 O 0.2491 0.7617 0.9180
O9 O 0.2908 0.4161 0.4784
O10 O 0.3228 0.3453 0.0086
O11 O 0.3316 0.9547 0.2614
O12 O 0.3708 0.0118 0.5184
O13 O 0.3845 0.9461 0.7468
O14 O 0.4252 0.9318 0.0171
O15 O 0.5078 0.1207 0.3542
O16 O 0.5280 0.1076 0.8569
O17 O 0.5434 0.1823 0.6109
O18 O 0.5927 0.7143 0.3907
O19 O 0.6122 0.0614 0.1201
O20 O 0.6476 0.6884 0.8752
O21 O 0.6929 0.3145 0.4291
O22 O 0.7325 0.2605 0.9578
O23 O 0.7867 0.9107 0.4855
O24 O 0.8318 0.8813 0.9628
O25 O 0.8502 0.4747 0.2541
O26 O 0.8770 0.5014 0.5150
O27 O 0.8814 0.3853 0.7636
O28 O 0.9008 0.4656 0.0240
```

Top 8 peaks for 10° ≤ 2θ ≤ 90°, by angle:
d (Å), 2θ/deg, intensity
5.421, 16.4, 30
4.191, 21.2, 31
3.514, 25.3, 100
3.429, 26.0, 34
3.160, 28.2, 37
3.153, 28.3, 41
3.102, 28.8, 42
2.808, 31.9, 44

=====

[7]
Computed X-ray diffraction stick pattern of MgHg8W8O28 for λ = 1.5418 Å (Cu Kα), from a crystal structure in the Materials Project, relaxed with GGA+U.
Kinematic intensities with the Lorentz-polarization factor, no thermal factor.

Structural model:
```
data_MgHg8W8O28
_chemical_formula_sum 'Mg1 Hg8 W8 O28'
_cell_length_a 7.4385
_cell_length_b 7.4540
_cell_length_c 15.0092
_cell_angle_alpha 90.01
_cell_angle_beta 103.43
_cell_angle_gamma 118.27
_space_group_name_H-M_alt 'P -1'
_space_group_IT_number 2
loop_
_space_group_symop_operation_xyz
'x,y,z'
'-x,-y,-z'
loop_
_atom_site_label
_atom_site_type_symbol
_atom_site_fract_x
_atom_site_fract_y
_atom_site_fract_z
Mg1 Mg 0.0000 0.0000 0.0000
Hg1 Hg 0.1559 0.2516 0.5545
Hg2 Hg 0.1886 0.5837 0.9343
Hg3 Hg 0.3628 0.8693 0.0765
Hg4 Hg 0.3661 0.2560 0.4376
W1 W 0.1412 0.1730 0.8012
W2 W 0.1566 0.6318 0.3122
W3 W 0.3370 0.8646 0.6872
W4 W 0.3513 0.3191 0.1983
O1 O 0.0174 0.6784 0.1701
O2 O 0.0241 0.2441 0.6707
O3 O 0.1058 0.6377 0.7187
O4 O 0.1306 0.0991 0.2374
O5 O 0.1872 0.2680 0.0806
O6 O 0.1917 0.1014 0.9172
O7 O 0.2083 0.8488 0.5698
O8 O 0.2337 0.5928 0.4280
O9 O 0.2874 0.5118 0.2534
O10 O 0.2900 0.0587 0.7450
O11 O 0.3875 0.9007 0.3202
O12 O 0.4009 0.4495 0.8218
O13 O 0.4583 0.6788 0.6685
O14 O 0.4743 0.1373 0.1748
```

Top 8 peaks for 10° ≤ 2θ ≤ 90°, by angle:
d (Å), 2θ/deg, intensity
5.524, 16.0, 41
3.603, 24.7, 100
3.418, 26.1, 42
3.338, 26.7, 45
3.164, 28.2, 72
3.037, 29.4, 41
2.784, 32.2, 59
1.832, 49.8, 34

=====

[8]
Computed X-ray diffraction stick pattern of Mn2Hg2O7 for λ = 1.5418 Å (Cu Kα), from a crystal structure in the Materials Project, relaxed with GGA+U.
Kinematic intensities with the Lorentz-polarization factor, no thermal factor.

Structural model:
a b c (Å): 10.1493 10.1493 10.1493
angles (deg): 90.00 90.00 90.00
Space group Fd-3m (No. 227, origin choice 2)
Symmetry-distinct sites (fractional):
1 Mn 0.0000 0.0000 0.0000
2 Hg 0.0000 0.0000 0.5000
3 O 0.0711 0.3750 0.3750
4 O 0.1250 0.1250 0.6250

Top 8 peaks for 10° ≤ 2θ ≤ 90°, by angle:
d (Å), 2θ/deg, intensity
5.860, 15.1, 31
3.060, 29.2, 20
2.930, 30.5, 100
2.537, 35.4, 34
2.328, 38.7, 21
1.794, 50.9, 44
1.530, 60.5, 43
1.164, 82.9, 18